[1]
# ZnAgHg
Theoretical powder diffraction line list, Cu Kα. Input: DFT lattice parameters and positions (PBE).

Main lines, by angle (2θ from 15° to 90°):
| d [Å] | 2theta | Rel. int. |
| --- | --- | --- |
| 3.186 | 28.0 | 31 |
| 3.106 | 28.7 | 24 |
| 2.792 | 32.1 | 100 |
| 2.446 | 36.7 | 73 |
| 2.420 | 37.2 | 71 |
| 2.224 | 40.6 | 66 |
| 2.124 | 42.6 | 43 |
| 2.119 | 42.7 | 52 |
| 2.113 | 42.8 | 52 |
| 1.307 | 72.3 | 29 |

Crystal structure
Cell: 2.9673 3.1063 6.5271 Å, 89.94 77.52 89.98°
Sites, in units of the cell vectors:
Zn 0.0000 0.0000 0.0000
Ag 0.6323 0.5005 0.7278
Hg 0.3123 0.0004 0.3735

[2]
# UNb2O7
Theoretical powder diffraction line list, Cu Kα. Input: DFT lattice parameters and positions (PBE).

Main lines, by angle (2θ from 15° to 90°):
| d [Å] | 2theta | Rel. int. |
| --- | --- | --- |
| 5.314 | 16.7 | 44 |
| 3.758 | 23.7 | 43 |
| 3.543 | 25.1 | 46 |
| 3.274 | 27.2 | 72 |
| 3.259 | 27.4 | 100 |
| 3.116 | 28.6 | 39 |
| 2.606 | 34.4 | 80 |
| 2.404 | 37.4 | 26 |
| 1.923 | 47.3 | 35 |
| 1.731 | 52.9 | 40 |

Crystal structure
Cell: 10.7982 10.7982 6.5477 Å, 90.00 90.00 159.64°
Sites, in units of the cell vectors:
U 0.1436 0.8564 0.7500
U 0.8564 0.1436 0.2500
Nb 0.0240 0.9760 0.2500
Nb 0.3357 0.6643 0.7500
Nb 0.6643 0.3357 0.2500
Nb 0.9760 0.0240 0.7500
O 0.0521 0.9479 0.5657
O 0.0521 0.9479 0.9343
O 0.1370 0.8630 0.2500
O 0.2489 0.7511 0.7500
O 0.3473 0.6527 0.0557
O 0.3473 0.6527 0.4443
O 0.4505 0.5495 0.7500
O 0.5495 0.4505 0.2500
O 0.6527 0.3473 0.5557
O 0.6527 0.3473 0.9443
O 0.7511 0.2489 0.2500
O 0.8630 0.1370 0.7500
O 0.9479 0.0521 0.0657
O 0.9479 0.0521 0.4343